[1]
Theoretical PXRD pattern of YNbCo for Cu Kα, from a crystal structure in Alexandria, relaxed with GGA-PBE.

Cell: 5.516 8.626 9.403 Å, 90.00 90.00 90.00°
Space group Fmmm (No. 69)
Unique sites:
Y 0.000 0.174 0.000 (multiplicity 8)
Nb 0.000 0.000 0.331 (multiplicity 8)
Co 0.250 0.250 0.250 (multiplicity 8)

Main lines, by angle (2θ = 10–90°):
two_theta	intensity
32.5	24
34.5	100
36.5	85
37.8	22
38.8	21
43.4	74
43.9	33
46.3	23
59.2	20
61.2	20
63.9	21
68.9	20

---

[2]
Theoretical PXRD pattern of Nb2ZnCo6 for Cu Kα, from a crystal structure in Alexandria, relaxed with GGA-PBE.

Cell: 4.9247 4.9247 5.4746 Å, 90.00 90.00 120.00°
Space group P-3m1 (No. 164)
Unique sites:
Nb 0.3333 0.6667 0.3477 (multiplicity 2)
Zn 0.0000 0.0000 0.5000 (multiplicity 1)
Co 0.1772 0.3543 0.8351 (multiplicity 6)

Main lines, by angle (2θ = 10–90°):
two_theta	intensity
36.5	11
39.1	69
40.2	49
42.4	15
45.7	100
54.6	16
54.7	13
63.4	11
67.4	17
68.1	11
77.5	20
79.3	16